Starting from a DFT-relaxed cell (PBE+U, Alexandria), the powder diffraction line list of Sr10MnRu4O20 was calculated for Cu Kα.

Structural model:
```
data_Sr10MnRu4O20
_chemical_formula_sum 'Sr20 Mn2 Ru8 O40'
_space_group_name_H-M_alt 'I 4/m m m'
_space_group_IT_number 139
_space_group_name_Hall '-I 4 2'
_cell_length_a 3.9017
_cell_length_b 3.9017
_cell_length_c 64.2331
_cell_angle_alpha 90.00
_cell_angle_beta 90.00
_cell_angle_gamma 90.00
loop_
_atom_site_label
_atom_site_fract_x
_atom_site_fract_y
_atom_site_fract_z
Sr1 0.0000 0.0000 0.0273
Sr2 0.0000 0.0000 0.1699
Sr3 0.0000 0.0000 0.2294
Sr4 0.0000 0.0000 0.3712
Sr5 0.0000 0.0000 0.4314
Mn1 0.0000 0.0000 0.5000
Ru1 0.0000 0.0000 0.0991
Ru2 0.0000 0.0000 0.3003
O1 0.0000 0.0000 0.0670
O2 0.0000 0.0000 0.1320
O3 0.0000 0.0000 0.2675
O4 0.0000 0.0000 0.3330
O5 0.0000 0.0000 0.4688
O6 0.0000 0.5000 0.0000
O7 0.0000 0.5000 0.0994
O8 0.0000 0.5000 0.1998
```

Peak list (6 most intense, 10° ≤ 2θ ≤ 80°, by angle)
2θ/deg  I (rel.)
31.01  100
32.45  65
42.17  29
46.55  35
56.99  37
64.61  24